Calculated powder X-ray diffraction pattern
Compound: Sr4Ta2O9
Radiation: λ = 1.5418 Å (Cu Kα)
Structure: a structure optimized by DFT (PBE)
Intensities are scaled so that the largest is 1000.

Main lines, sorted by position (2θ from 15° to 90°):
2theta  Rel. int.  index
17.2  401  1 0 0
20.8  227  0 1 2
29.0  1000  1 0 4
30.1  956  1 1 0
42.2  392  0 2 4
46.8  320  1 1 6
52.7  402  2 1 4
53.4  277  3 0 0
62.5  131  2 2 0
70.3  164  1 3 4

Atomic structure:
```
Sr4Ta2O9
1.0
5.946 0.000 0.000
-2.973 5.150 0.000
0.000 0.000 15.387
Sr Ta O
8 4 18
direct
0.333 0.667 0.028 Sr
0.333 0.667 0.301 Sr
0.333 0.667 0.528 Sr
0.333 0.667 0.801 Sr
0.667 0.333 0.199 Sr
0.667 0.333 0.472 Sr
0.667 0.333 0.699 Sr
0.667 0.333 0.972 Sr
0.000 0.000 0.150 Ta
0.000 0.000 0.350 Ta
0.000 0.000 0.650 Ta
0.000 0.000 0.850 Ta
0.000 0.248 0.250 O
0.000 0.752 0.750 O
0.040 0.309 0.907 O
0.040 0.731 0.407 O
0.248 0.000 0.250 O
0.248 0.248 0.750 O
0.269 0.309 0.407 O
0.269 0.960 0.907 O
0.309 0.040 0.593 O
0.309 0.269 0.093 O
0.691 0.731 0.907 O
0.691 0.960 0.407 O
0.731 0.040 0.093 O
0.731 0.691 0.593 O
0.752 0.000 0.750 O
0.752 0.752 0.250 O
0.960 0.269 0.593 O
0.960 0.691 0.093 O
```